Record 1
Diffraction record for Pu8IrPt5. The XRD peak list is computed, not measured: it uses a DFT-relaxed cell (PBE, OQMD) and a wavelength of 1.5418 Å.
No peak broadening, texture or thermal motion is included.

Most intense lines, 15° ≤ 2θ ≤ 90°, sorted by position:
- 32.53 deg, I 50.1
- 32.69 deg, I 100.0
- 38.80 deg, I 68.6
- 38.89 deg, I 31.5
- 53.84 deg, I 21.9
- 66.52 deg, I 25.1

Structure:
```
data_Pu8IrPt5
_space_group_name_H-M_alt 'P 1'
_space_group_IT_number 1
_cell_length_a 7.5141
_cell_length_b 7.5141
_cell_length_c 7.5141
_cell_angle_alpha 109.62
_cell_angle_beta 109.62
_cell_angle_gamma 109.17
loop_
_space_group_symop_operation_xyz
'x,y,z'
loop_
_atom_site_label
_atom_site_type_symbol
_atom_site_fract_x
_atom_site_fract_y
_atom_site_fract_z
Pu1 Pu 0.1238 0.2305 0.7535
Pu2 Pu 0.1249 0.7378 0.7576
Pu3 Pu 0.2622 0.0198 0.3871
Pu4 Pu 0.4770 0.3703 0.2465
Pu5 Pu 0.6297 0.8762 0.1067
Pu6 Pu 0.6326 0.8751 0.6129
Pu7 Pu 0.7695 0.5230 0.8933
Pu8 Pu 0.9802 0.3674 0.2424
Ir1 Ir 0.0000 0.0000 0.0000
Pt1 Pt 0.2556 0.6293 0.1301
Pt2 Pt 0.3707 0.5008 0.6263
Pt3 Pt 0.4992 0.1255 0.8699
Pt4 Pt 0.7500 0.2500 0.5000
Pt5 Pt 0.8745 0.7444 0.3737
```

Record 2
Diffraction record for SmIrPt. The XRD peak list is computed, not measured: it uses a DFT-relaxed cell (PBE, OQMD) and a wavelength of 1.5418 Å.
No peak broadening, texture or thermal motion is included.

Most intense lines, 15° ≤ 2θ ≤ 90°, sorted by position:
- 23.82 deg, I 32.4
- 39.38 deg, I 100.0
- 46.55 deg, I 16.7
- 56.92 deg, I 17.3
- 71.41 deg, I 35.3
- 84.74 deg, I 11.4

Structure:
```
data_SmIrPt
_space_group_name_H-M_alt 'P 1'
_space_group_IT_number 1
_cell_length_a 6.4712
_cell_length_b 6.4712
_cell_length_c 6.4712
_cell_angle_alpha 90.00
_cell_angle_beta 90.00
_cell_angle_gamma 90.00
loop_
_space_group_symop_operation_xyz
'x,y,z'
loop_
_atom_site_label
_atom_site_type_symbol
_atom_site_fract_x
_atom_site_fract_y
_atom_site_fract_z
Sm1 Sm 0.0000 0.0000 0.0000
Sm2 Sm 0.0000 0.5000 0.5000
Sm3 Sm 0.5000 0.0000 0.5000
Sm4 Sm 0.5000 0.5000 0.0000
Ir1 Ir 0.2500 0.2500 0.2500
Ir2 Ir 0.2500 0.7500 0.7500
Ir3 Ir 0.7500 0.2500 0.7500
Ir4 Ir 0.7500 0.7500 0.2500
Pt1 Pt 0.0000 0.0000 0.5000
Pt2 Pt 0.0000 0.5000 0.0000
Pt3 Pt 0.5000 0.0000 0.0000
Pt4 Pt 0.5000 0.5000 0.5000
```